Calculated PXRD pattern of Na3W10O30 for Cu Kα (λ = 1.5418 Å), from DFT lattice parameters and positions (GGA+U).
Lines closer than 0.1° are merged.

Principal peaks in the range 2θ = 10–90°, low angle first:
2theta  d/Å  I_rel  index
22.9  3.890  100  1 0 3
32.6  2.751  66  2 1 1
40.2  2.246  13  1 2 3
46.7  1.945  23  2 0 6
52.6  1.740  41  1 3 -2
58.1  1.588  27  2 3 1
68.2  1.375  14  0 4 0
73.0  1.297  19  3 3 4
77.6  1.230  12  2 4 -4
82.2  1.173  5  1 4 -7

Crystal structure
a b c (Å): 6.736 5.504 16.032
angles (deg): 90.00 98.01 90.00
Space group P2/m (No. 10)
Inequivalent atoms, fractional coordinates:
Na: 0.000 0.000 0.000 x1
Na: 0.100 0.500 0.300 x2
W: 0.000 0.500 0.500 x1
W: 0.103 0.000 0.799 x2
W: 0.204 0.500 0.100 x2
W: 0.302 0.000 0.402 x2
W: 0.401 0.500 0.699 x2
W: 0.500 0.000 0.000 x1
O: 0.000 0.500 0.000 x1
O: 0.050 0.250 0.150 x4
O: 0.099 0.000 0.300 x2
O: 0.150 0.252 0.449 x4
O: 0.198 0.500 0.601 x2
O: 0.247 0.252 0.750 x4
O: 0.298 0.000 0.901 x2
O: 0.347 0.248 0.050 x4
O: 0.397 0.500 0.201 x2
O: 0.447 0.252 0.349 x4
O: 0.500 0.000 0.500 x1



Calculated PXRD pattern of Na7W12O36 for Cu Kα (λ = 1.5418 Å), from DFT lattice parameters and positions (GGA+U).
Lines closer than 0.1° are merged.

Principal peaks in the range 2θ = 10–90°, low angle first:
2theta  d/Å  I_rel  index
22.7  3.911  100  1 3 1
32.4  2.766  77  2 0 2
39.9  2.258  13  4 0 0
46.4  1.956  26  2 6 2
52.3  1.749  42  4 6 0
57.7  1.597  31  5 3 1
67.8  1.383  16  4 0 4
72.5  1.304  20  6 0 2
77.1  1.237  14  5 9 1
81.6  1.179  7  6 6 2

Crystal structure
a b c (Å): 9.580 16.595 9.580
angles (deg): 90.00 109.46 90.00
Space group C2/m (No. 12)
Inequivalent atoms, fractional coordinates:
Na: 0.000 0.000 0.000 x2
Na: 0.250 0.000 0.750 x4
Na: 0.250 0.167 0.251 x8
W: 0.122 0.500 0.874 x4
W: 0.125 0.333 0.376 x8
W: 0.126 0.000 0.378 x4
W: 0.126 0.168 0.874 x8
O: 0.000 0.000 0.500 x2
O: 0.000 0.083 0.248 x8
O: 0.000 0.165 0.000 x4
O: 0.000 0.250 0.250 x8
O: 0.000 0.333 0.500 x4
O: 0.000 0.417 0.250 x8
O: 0.000 0.500 0.000 x2
O: 0.248 0.000 0.248 x4
O: 0.248 0.083 0.000 x8
O: 0.250 0.083 0.500 x8
O: 0.250 0.167 0.750 x8
O: 0.250 0.250 0.000 x4
O: 0.250 0.250 0.500 x4



Calculated PXRD pattern of Na2W2O5 for Cu Kα (λ = 1.5418 Å), from DFT lattice parameters and positions (GGA+U).
Lines closer than 0.1° are merged.

Principal peaks in the range 2θ = 10–90°, low angle first:
2theta  d/Å  I_rel  index
16.8  5.281  69  1 0 -1
21.8  4.070  92  1 -1 0
22.2  4.002  59  1 1 -1
22.7  3.921  100  0 0 2
23.3  3.824  36  1 0 1
30.8  2.905  62  0 2 -1
31.7  2.824  84  1 -1 2
31.9  2.808  50  1 1 1
32.1  2.791  30  1 1 -3
46.3  1.961  29  0 0 4

Crystal structure
a b c (Å): 5.609 5.812 8.780
angles (deg): 108.61 108.14 90.96
Space group P1 (No. 1)
Inequivalent atoms, fractional coordinates:
Na: 0.000 0.000 0.000 x1
Na: 0.170 0.198 0.435 x1
Na: 0.447 0.490 0.981 x1
Na: 0.705 0.682 0.414 x1
W: 0.078 0.588 0.211 x1
W: 0.471 0.861 0.706 x1
W: 0.574 0.083 0.203 x1
W: 0.715 0.282 0.707 x1
O: 0.243 0.751 0.465 x1
O: 0.284 0.810 0.164 x1
O: 0.335 0.345 0.199 x1
O: 0.451 0.503 0.705 x1
O: 0.484 0.979 0.946 x1
O: 0.653 0.182 0.466 x1
O: 0.818 0.922 0.704 x1
O: 0.821 0.830 0.218 x1
O: 0.867 0.352 0.245 x1
O: 0.892 0.416 0.948 x1



Calculated PXRD pattern of NaWO2 for Cu Kα (λ = 1.5418 Å), from DFT lattice parameters and positions (GGA+U).
Lines closer than 0.1° are merged.

Principal peaks in the range 2θ = 10–90°, low angle first:
2theta  d/Å  I_rel  index
16.0  5.535  100  1 0 1
27.2  3.275  40  1 0 3
31.1  2.873  42  0 0 4
32.4  2.767  94  2 0 2
32.6  2.743  29  1 2 1
39.6  2.273  24  1 2 3
40.4  2.233  44  2 2 0
51.9  1.763  38  2 2 4
56.2  1.638  25  2 0 6
68.4  1.371  25  4 2 2

Crystal structure
a b c (Å): 6.315 6.315 11.493
angles (deg): 90.00 90.00 90.00
Space group I4_1/a (No. 88, origin choice 2)
Inequivalent atoms, fractional coordinates:
Na: 0.000 0.000 0.000 x8
W: 0.000 0.000 0.500 x8
O: 0.011 0.045 0.786 x16